(1)
Theoretical powder diffractogram
Compound: Er2In4CoNi
Radiation: Cu Ka
Structure: a crystal structure in OQMD, relaxed with PBE
Peak positions follow from Bragg's law for the DFT cell and can differ from measured ones.

Peak list (6 most intense, 10° ≤ 2θ ≤ 90°, by angle)
2θ 32.99, d 2.715, rel. 100
2θ 33.51, d 2.674, rel. 30
2θ 35.66, d 2.518, rel. 56
2θ 37.02, d 2.428, rel. 28
2θ 40.25, d 2.241, rel. 28
2θ 42.19, d 2.142, rel. 34

a = 7.470 Å, b = 4.284 Å, c = 10.271 Å
α = 90.00°, β = 90.00°, γ = 90.00°
Positions (direct):
Er  0.000  0.000  0.000
Er  0.000  0.500  0.500
Er  0.500  0.000  0.133
Er  0.500  0.500  0.633
In  0.201  0.000  0.712
In  0.201  0.500  0.212
In  0.300  0.000  0.423
In  0.300  0.500  0.923
In  0.700  0.000  0.423
In  0.700  0.500  0.923
In  0.799  0.000  0.712
In  0.799  0.500  0.212
Co  0.500  0.000  0.854
Co  0.500  0.500  0.354
Ni  0.000  0.000  0.281
Ni  0.000  0.500  0.781



(2)
Theoretical powder diffractogram
Compound: ErTmInCo2
Radiation: Cu Ka
Structure: a crystal structure in OQMD, relaxed with PBE
Peak positions follow from Bragg's law for the DFT cell and can differ from measured ones.

Peak list (6 most intense, 10° ≤ 2θ ≤ 90°, by angle)
2θ 30.67, d 2.915, rel. 49
2θ 33.80, d 2.652, rel. 100
2θ 35.12, d 2.555, rel. 79
2θ 38.74, d 2.325, rel. 37
2θ 40.70, d 2.217, rel. 27
2θ 60.80, d 1.523, rel. 32

a = 3.853 Å, b = 3.795 Å, c = 13.658 Å
α = 90.00°, β = 90.00°, γ = 90.00°
Positions (direct):
Er  0.000  0.000  0.000
Er  0.000  0.500  0.500
Tm  0.000  0.000  0.720
Tm  0.000  0.500  0.220
In  0.500  0.000  0.360
In  0.500  0.500  0.860
Co  0.500  0.000  0.155
Co  0.500  0.000  0.566
Co  0.500  0.500  0.066
Co  0.500  0.500  0.655



(3)
Theoretical powder diffractogram
Compound: Er2ZnCoIr
Radiation: Cu Ka
Structure: a crystal structure in OQMD, relaxed with PBE
Peak positions follow from Bragg's law for the DFT cell and can differ from measured ones.

Peak list (6 most intense, 10° ≤ 2θ ≤ 90°, by angle)
2θ 34.86, d 2.574, rel. 100
2θ 39.13, d 2.302, rel. 39
2θ 39.64, d 2.274, rel. 34
2θ 40.63, d 2.221, rel. 54
2θ 43.97, d 2.059, rel. 30
2θ 60.30, d 1.535, rel. 35

a = 4.119 Å, b = 8.179 Å, c = 5.571 Å
α = 90.00°, β = 90.00°, γ = 90.00°
Positions (direct):
Er  0.000  0.207  0.000
Er  0.000  0.793  0.000
Er  0.500  0.293  0.500
Er  0.500  0.707  0.500
Zn  0.000  0.000  0.512
Zn  0.500  0.500  0.012
Co  0.000  0.500  0.268
Co  0.500  0.000  0.768
Ir  0.000  0.500  0.708
Ir  0.500  0.000  0.208